The following is a theoretical powder diffractogram of DySI. It was derived from DFT lattice parameters and positions (PBE), using a wavelength of 1.5418 Å.

Main lines, by angle (5° ≤ 2θ ≤ 70°):
2θ/deg, intensity
8.29, 83
18.56, 100
27.04, 72
28.30, 36
33.02, 27
33.53, 35
37.17, 35
43.59, 50

Crystal structure
```
data_DySI
_chemical_formula_sum 'Dy2 S2 I2'
_space_group_name_H-M_alt 'P 1'
_space_group_IT_number 1
_space_group_name_Hall 'P 1'
_cell_length_a 4.1954
_cell_length_b 5.3484
_cell_length_c 10.6668
_cell_angle_alpha 90.00
_cell_angle_beta 90.00
_cell_angle_gamma 90.00
loop_
_atom_site_label
_atom_site_fract_x
_atom_site_fract_y
_atom_site_fract_z
Dy1 0.2500 0.2500 0.1073
Dy2 0.7500 0.7500 0.8927
S1 0.2500 0.7500 0.0581
S2 0.7500 0.2500 0.9419
I1 0.2500 0.7500 0.6841
I2 0.7500 0.2500 0.3159
```

The following is a theoretical powder diffractogram of SnOsN. It was derived from DFT lattice parameters and positions (PBE), using a wavelength of 1.5418 Å.

Main lines, by angle (5° ≤ 2θ ≤ 70°):
2θ/deg, intensity
13.34, 92
26.87, 38
33.00, 45
35.11, 100
38.34, 46
40.79, 24
42.51, 40
47.44, 27

Crystal structure
```
data_SnOsN
_chemical_formula_sum 'Sn4 Os4 N4'
_space_group_name_H-M_alt 'P 1'
_space_group_IT_number 1
_space_group_name_Hall 'P 1'
_cell_length_a 3.2056
_cell_length_b 5.5285
_cell_length_c 13.2717
_cell_angle_alpha 90.00
_cell_angle_beta 90.00
_cell_angle_gamma 90.00
loop_
_atom_site_label
_atom_site_fract_x
_atom_site_fract_y
_atom_site_fract_z
Sn1 0.0000 0.0013 0.0000
Sn2 0.0000 0.9987 0.5000
Sn3 0.5000 0.4987 0.5000
Sn4 0.5000 0.5013 0.0000
Os1 0.0000 0.3292 0.1801
Os2 0.0000 0.6708 0.6801
Os3 0.5000 0.1708 0.6801
Os4 0.5000 0.8292 0.1801
N1 0.0000 0.3360 0.7216
N2 0.0000 0.6640 0.2216
N3 0.5000 0.1640 0.2216
N4 0.5000 0.8360 0.7216
```

The following is a theoretical powder diffractogram of Zr4V. It was derived from DFT lattice parameters and positions (PBE), using a wavelength of 1.5418 Å.

Main lines, by angle (5° ≤ 2θ ≤ 70°):
2θ/deg, intensity
25.60, 11
31.49, 100
36.52, 34
39.93, 22
48.04, 27
52.60, 35
62.61, 25
68.03, 11

Crystal structure
```
data_Zr4V
_chemical_formula_sum 'Zr8 V2'
_space_group_name_H-M_alt 'P 1'
_space_group_IT_number 1
_space_group_name_Hall 'P 1'
_cell_length_a 6.9592
_cell_length_b 6.9592
_cell_length_c 6.9592
_cell_angle_alpha 60.00
_cell_angle_beta 60.00
_cell_angle_gamma 60.00
loop_
_atom_site_label
_atom_site_fract_x
_atom_site_fract_y
_atom_site_fract_z
Zr1 0.1957 0.7681 0.7681
Zr2 0.2319 0.2319 0.2319
Zr3 0.2319 0.2319 0.8043
Zr4 0.2319 0.8043 0.2319
Zr5 0.7681 0.1957 0.7681
Zr6 0.7681 0.7681 0.1957
Zr7 0.7681 0.7681 0.7681
Zr8 0.8043 0.2319 0.2319
V1 0.3750 0.3750 0.3750
V2 0.6250 0.6250 0.6250
```

The following is a theoretical powder diffractogram of SbSCl9. It was derived from DFT lattice parameters and positions (PBE), using a wavelength of 1.5418 Å.

Main lines, by angle (5° ≤ 2θ ≤ 70°):
2θ/deg, intensity
13.07, 31
13.59, 41
15.56, 100
15.98, 51
21.75, 23
22.07, 22
28.35, 27
30.21, 20

Crystal structure
```
data_SbSCl9
_chemical_formula_sum 'Sb2 S2 Cl18'
_space_group_name_H-M_alt 'P 1'
_space_group_IT_number 1
_space_group_name_Hall 'P 1'
_cell_length_a 7.7479
_cell_length_b 7.7479
_cell_length_c 14.2510
_cell_angle_alpha 105.35
_cell_angle_beta 105.35
_cell_angle_gamma 62.57
loop_
_atom_site_label
_atom_site_fract_x
_atom_site_fract_y
_atom_site_fract_z
Sb1 0.0000 0.0000 0.0000
Sb2 0.5000 0.5000 0.5000
S1 0.1550 0.1550 0.7196
S2 0.8450 0.8450 0.2804
Cl1 0.0269 0.0269 0.1766
Cl2 0.0346 0.4220 0.8010
Cl3 0.1920 0.1920 0.0357
Cl4 0.2122 0.2122 0.6046
Cl5 0.2619 0.6866 0.6105
Cl6 0.2962 0.7038 0.0000
Cl7 0.3111 0.3111 0.4167
Cl8 0.3134 0.7381 0.3895
Cl9 0.4220 0.0346 0.8010
Cl10 0.5780 0.9654 0.1990
Cl11 0.6866 0.2619 0.6105
Cl12 0.6889 0.6889 0.5833
Cl13 0.7038 0.2962 0.0000
Cl14 0.7381 0.3134 0.3895
Cl15 0.7878 0.7878 0.3954
Cl16 0.8080 0.8080 0.9643
Cl17 0.9654 0.5780 0.1990
Cl18 0.9731 0.9731 0.8234
```

The following is a theoretical powder diffractogram of Ti2ZnP3O12. It was derived from DFT lattice parameters and positions (PBE), using a wavelength of 1.5418 Å.

Main lines, by angle (5° ≤ 2θ ≤ 70°):
2θ/deg, intensity
20.47, 77
24.18, 100
25.20, 22
33.03, 73
35.85, 35
47.34, 30
49.54, 28
56.09, 22

Crystal structure
```
data_Ti2ZnP3O12
_chemical_formula_sum 'Ti4 Zn2 P6 O24'
_space_group_name_H-M_alt 'P 1'
_space_group_IT_number 1
_space_group_name_Hall 'P 1'
_cell_length_a 8.5675
_cell_length_b 8.5675
_cell_length_c 8.5675
_cell_angle_alpha 60.85
_cell_angle_beta 60.85
_cell_angle_gamma 60.85
loop_
_atom_site_label
_atom_site_fract_x
_atom_site_fract_y
_atom_site_fract_z
Ti1 0.1451 0.1451 0.1451
Ti2 0.3549 0.3549 0.3549
Ti3 0.6451 0.6451 0.6451
Ti4 0.8549 0.8549 0.8549
Zn1 0.0000 0.0000 0.0000
Zn2 0.5000 0.5000 0.5000
P1 0.0455 0.7500 0.4545
P2 0.2500 0.5455 0.9545
P3 0.4545 0.0455 0.7500
P4 0.5455 0.9545 0.2500
P5 0.7500 0.4545 0.0455
P6 0.9545 0.2500 0.5455
O1 0.0015 0.8144 0.6149
O2 0.0585 0.9122 0.2603
O3 0.0878 0.7397 0.9415
O4 0.1149 0.3144 0.5015
O5 0.1856 0.3851 0.9985
O6 0.2397 0.5878 0.4415
O7 0.2603 0.0585 0.9122
O8 0.3144 0.5015 0.1149
O9 0.3851 0.9985 0.1856
O10 0.4122 0.5585 0.7603
O11 0.4415 0.2397 0.5878
O12 0.4985 0.8851 0.6856
O13 0.5015 0.1149 0.3144
O14 0.5585 0.7603 0.4122
O15 0.5878 0.4415 0.2397
O16 0.6149 0.0015 0.8144
O17 0.6856 0.4985 0.8851
O18 0.7397 0.9415 0.0878
O19 0.7603 0.4122 0.5585
O20 0.8144 0.6149 0.0015
O21 0.8851 0.6856 0.4985
O22 0.9122 0.2603 0.0585
O23 0.9415 0.0878 0.7397
O24 0.9985 0.1856 0.3851
```

The following is a theoretical powder diffractogram of KDyTi4O12. It was derived from DFT lattice parameters and positions (PBE), using a wavelength of 1.5418 Å.

Main lines, by angle (5° ≤ 2θ ≤ 70°):
2θ/deg, intensity
11.40, 31
16.17, 29
19.83, 94
32.66, 100
38.50, 48
46.86, 51
58.28, 40
68.43, 25

Crystal structure
```
data_KDyTi4O12
_chemical_formula_sum 'K1 Dy1 Ti4 O12'
_space_group_name_H-M_alt 'P 1'
_space_group_IT_number 1
_space_group_name_Hall 'P 1'
_cell_length_a 7.7607
_cell_length_b 5.4822
_cell_length_c 5.4822
_cell_angle_alpha 89.94
_cell_angle_beta 90.00
_cell_angle_gamma 90.00
loop_
_atom_site_label
_atom_site_fract_x
_atom_site_fract_y
_atom_site_fract_z
K1 0.0000 0.0000 0.0000
Dy1 0.5000 0.4642 0.4642
Ti1 0.2434 0.4921 0.9761
Ti2 0.2434 0.9761 0.4921
Ti3 0.7566 0.4921 0.9761
Ti4 0.7566 0.9761 0.4921
O1 0.0000 0.5049 0.9723
O2 0.0000 0.9723 0.5049
O3 0.2510 0.2607 0.2607
O4 0.2694 0.2307 0.7449
O5 0.2694 0.7449 0.2307
O6 0.2975 0.7090 0.7090
O7 0.5000 0.0385 0.4661
O8 0.5000 0.4661 0.0385
O9 0.7025 0.7090 0.7090
O10 0.7306 0.2307 0.7449
O11 0.7306 0.7449 0.2307
O12 0.7490 0.2607 0.2607
```

The following is a theoretical powder diffractogram of Sr2ZnGe2S6O. It was derived from DFT lattice parameters and positions (PBE), using a wavelength of 1.5418 Å.

Main lines, by angle (5° ≤ 2θ ≤ 70°):
2θ/deg, intensity
23.45, 27
25.26, 100
29.62, 29
30.07, 13
35.57, 14
40.11, 12
41.59, 38
53.78, 14

Crystal structure
```
data_Sr2ZnGe2S6O
_chemical_formula_sum 'Sr4 Zn2 Ge4 S12 O2'
_space_group_name_H-M_alt 'P 1'
_space_group_IT_number 1
_space_group_name_Hall 'P 1'
_cell_length_a 9.5387
_cell_length_b 9.5387
_cell_length_c 6.2603
_cell_angle_alpha 90.00
_cell_angle_beta 90.00
_cell_angle_gamma 90.00
loop_
_atom_site_label
_atom_site_fract_x
_atom_site_fract_y
_atom_site_fract_z
Sr1 0.1598 0.3402 0.0008
Sr2 0.3402 0.8402 0.9992
Sr3 0.6598 0.1598 0.9992
Sr4 0.8402 0.6598 0.0008
Zn1 0.0000 0.0000 0.5000
Zn2 0.5000 0.5000 0.5000
Ge1 0.1266 0.6266 0.5699
Ge2 0.3734 0.1266 0.4301
Ge3 0.6266 0.8734 0.4301
Ge4 0.8734 0.3734 0.5699
S1 0.0620 0.8226 0.7406
S2 0.1336 0.6336 0.2230
S3 0.1774 0.0620 0.2594
S4 0.3226 0.5620 0.7406
S5 0.3664 0.1336 0.7770
S6 0.4380 0.3226 0.2594
S7 0.5620 0.6774 0.2594
S8 0.6336 0.8664 0.7770
S9 0.6774 0.4380 0.7406
S10 0.8226 0.9380 0.2594
S11 0.8664 0.3664 0.2230
S12 0.9380 0.1774 0.7406
O1 0.0000 0.5000 0.6892
O2 0.5000 0.0000 0.3108
```

The following is a theoretical powder diffractogram of CaMg14Sn. It was derived from DFT lattice parameters and positions (PBE), using a wavelength of 1.5418 Å.

Main lines, by angle (5° ≤ 2θ ≤ 70°):
2θ/deg, intensity
8.37, 39
32.21, 30
33.95, 40
35.85, 52
36.53, 100
56.46, 18
62.44, 20
67.54, 20

Crystal structure
```
data_CaMg14Sn
_chemical_formula_sum 'Ca1 Mg14 Sn1'
_space_group_name_H-M_alt 'P 1'
_space_group_IT_number 1
_space_group_name_Hall 'P 1'
_cell_length_a 10.5631
_cell_length_b 6.5217
_cell_length_c 6.5217
_cell_angle_alpha 58.48
_cell_angle_beta 90.00
_cell_angle_gamma 90.00
loop_
_atom_site_label
_atom_site_fract_x
_atom_site_fract_y
_atom_site_fract_z
Ca1 0.0000 0.0000 0.0000
Mg1 0.0000 0.0025 0.4962
Mg2 0.0000 0.4962 0.0025
Mg3 0.2491 0.6655 0.6655
Mg4 0.2573 0.1657 0.6614
Mg5 0.2575 0.1671 0.1671
Mg6 0.2573 0.6614 0.1657
Mg7 0.5000 0.4992 0.4992
Mg8 0.5000 0.4998 0.9970
Mg9 0.5000 0.9970 0.4998
Mg10 0.5000 0.9985 0.9985
Mg11 0.7427 0.1657 0.6614
Mg12 0.7425 0.1671 0.1671
Mg13 0.7427 0.6614 0.1657
Mg14 0.7509 0.6655 0.6655
Sn1 0.0000 0.4946 0.4946
```